Starting from a cell relaxed with PBE, the PXRD pattern of KGdC2O6 was simulated for Cu Kα (weighted mean of Kα1 and Kα2).
Neutral-atom scattering factors, no anomalous dispersion.

Structure:
a = 8.5754 Å, b = 9.7665 Å, c = 7.1203 Å
α = 90.00°, β = 110.73°, γ = 90.00°
Space group C2/c (No. 15)
Symmetry-distinct sites (fractional):
K 0.0000 0.1220 0.2500
Gd 0.0000 0.4048 0.7500
C 0.2316 0.3757 0.2535
O 0.0861 0.3834 0.1055
O 0.1750 0.2294 0.7257
O 0.2299 0.0226 0.6217

Most intense lines, 10° ≤ 2θ ≤ 90°, low angle first:
- (1 1 0), 14.3 deg, d 6.198, rel. 100
- (2 0 0), 22.1 deg, d 4.013, rel. 34
- (0 2 1), 22.6 deg, d 3.938, rel. 39
- (0 0 2), 26.8 deg, d 3.332, rel. 74
- (2 2 -1), 28.2 deg, d 3.160, rel. 84
- (2 2 1), 35.1 deg, d 2.555, rel. 28

Starting from a cell relaxed with PBE, the PXRD pattern of Gd6Mg23C was simulated for Cu Kα (weighted mean of Kα1 and Kα2).
Neutral-atom scattering factors, no anomalous dispersion.

Structure:
a = 14.2554 Å, b = 14.2554 Å, c = 14.2554 Å
α = 90.00°, β = 90.00°, γ = 90.00°
Space group Fm-3m (No. 225)
Symmetry-distinct sites (fractional):
Gd 0.0000 0.0000 0.1800
Mg 0.0000 0.0000 0.5000
Mg 0.0000 0.2500 0.2500
Mg 0.1203 0.1203 0.3797
Mg 0.1690 0.1690 0.1690
C 0.0000 0.0000 0.0000

Most intense lines, 10° ≤ 2θ ≤ 90°, low angle first:
- (1 1 1), 10.7 deg, d 8.230, rel. 61
- (3 3 1), 27.3 deg, d 3.270, rel. 41
- (4 2 2), 30.7 deg, d 2.910, rel. 38
- (3 3 3), 32.6 deg, d 2.743, rel. 100
- (6 0 0), 37.9 deg, d 2.376, rel. 34
- (6 6 0), 54.6 deg, d 1.680, rel. 33

Starting from a cell relaxed with PBE, the PXRD pattern of Gd2Mo2C3 was simulated for Cu Kα (weighted mean of Kα1 and Kα2).
Neutral-atom scattering factors, no anomalous dispersion.

Structure:
a = 11.8948 Å, b = 3.3726 Å, c = 5.7849 Å
α = 90.00°, β = 113.28°, γ = 90.00°
Space group C2/m (No. 12)
Symmetry-distinct sites (fractional):
Gd 0.1088 0.0000 0.3208
Mo 0.1582 0.5000 0.8246
C 0.0000 0.5000 0.5000
C 0.2505 0.0000 0.7686

Most intense lines, 10° ≤ 2θ ≤ 90°, low angle first:
- (2 0 1), 27.7 deg, d 3.224, rel. 29
- (4 0 -1), 30.3 deg, d 2.949, rel. 30
- (2 0 -2), 31.1 deg, d 2.878, rel. 38
- (4 0 0), 32.8 deg, d 2.732, rel. 42
- (1 1 1), 34.2 deg, d 2.623, rel. 100
- (3 1 -1), 35.7 deg, d 2.517, rel. 94